1.
For CeAlCu4, a structure optimized by DFT (GGA-PBE) gives the computed powder diffraction line list in this record (Cu Kα (weighted mean of Kα1 and Kα2)).

Structure:
```
data_CeAlCu4
_space_group_name_H-M_alt 'C m m m'
_space_group_IT_number 65
_space_group_name_Hall '-C 2 2'
_cell_length_a 5.2085
_cell_length_b 8.8254
_cell_length_c 4.1826
_cell_angle_alpha 90.00
_cell_angle_beta 90.00
_cell_angle_gamma 90.00
loop_
_atom_site_label
_atom_site_fract_x
_atom_site_fract_y
_atom_site_fract_z
Ce1 0.0000 0.0000 0.0000
Al1 0.0000 0.5000 0.5000
Cu1 0.0000 0.3324 0.0000
Cu2 0.2500 0.2500 0.5000
```

Largest 12 diffraction maxima, by angle, 10° ≤ 2θ ≤ 80°:
d (Å), Position (°2θ), I (rel.)
4.183, 21.24, 19
3.059, 29.19, 26
3.036, 29.42, 44
2.561, 35.03, 54
2.243, 40.21, 32
2.210, 40.83, 100
2.184, 41.33, 100
2.091, 43.26, 46
1.620, 56.83, 26
1.530, 60.53, 19
1.408, 66.40, 23
1.388, 67.50, 18

***

2.
For Be3N2, a structure optimized by DFT (GGA-PBE) gives the computed powder diffraction line list in this record (Cu Kα (weighted mean of Kα1 and Kα2)).

Structure:
```
data_Be3N2
_space_group_name_H-M_alt 'R 3 m'
_space_group_IT_number 160
_space_group_name_Hall 'R 3 -2"'
_cell_length_a 2.8477
_cell_length_b 2.8477
_cell_length_c 14.6328
_cell_angle_alpha 90.00
_cell_angle_beta 90.00
_cell_angle_gamma 120.00
loop_
_atom_site_label
_atom_site_fract_x
_atom_site_fract_y
_atom_site_fract_z
Be1 0.0000 0.0000 0.0000
Be2 0.0000 0.0000 0.2286
Be3 0.0000 0.0000 0.7701
N1 0.0000 0.0000 0.1154
N2 0.0000 0.0000 0.6195
```

Largest 12 diffraction maxima, by angle, 10° ≤ 2θ ≤ 80°:
d (Å), Position (°2θ), I (rel.)
4.878, 18.19, 3
2.439, 36.86, 40
2.432, 36.96, 10
2.337, 38.52, 100
2.045, 44.30, 9
1.886, 48.26, 11
1.626, 56.61, 5
1.469, 63.30, 32
1.424, 65.56, 42
1.258, 75.56, 8
1.230, 77.66, 14
1.216, 78.69, 6

***

3.
For ScGaO3, a structure optimized by DFT (GGA-PBE) gives the computed powder diffraction line list in this record (Cu Kα (weighted mean of Kα1 and Kα2)).

Structure:
```
data_ScGaO3
_space_group_name_H-M_alt 'P 63/m m c'
_space_group_IT_number 194
_space_group_name_Hall '-P 6c 2c'
_cell_length_a 3.3256
_cell_length_b 3.3256
_cell_length_c 11.8647
_cell_angle_alpha 90.00
_cell_angle_beta 90.00
_cell_angle_gamma 120.00
loop_
_atom_site_label
_atom_site_fract_x
_atom_site_fract_y
_atom_site_fract_z
Sc1 0.0000 0.0000 0.0000
Ga1 0.3333 0.6667 0.2500
O1 0.0000 0.0000 0.2500
O2 0.3333 0.6667 0.0836
```

Largest 12 diffraction maxima, by angle, 10° ≤ 2θ ≤ 80°:
d (Å), Position (°2θ), I (rel.)
5.932, 14.93, 12
2.966, 30.13, 45
2.799, 31.98, 100
2.591, 34.62, 42
2.328, 38.67, 12
1.831, 49.79, 27
1.663, 55.24, 41
1.630, 56.45, 19
1.461, 63.71, 12
1.450, 64.22, 28
1.430, 65.27, 11
1.399, 66.86, 6

***

4.
For Dy5B3O13, a structure optimized by DFT (GGA-PBE) gives the computed powder diffraction line list in this record (Cu Kα (weighted mean of Kα1 and Kα2)).

Structure:
```
data_Dy5B3O13
_space_group_name_H-M_alt 'P 63/m'
_space_group_IT_number 176
_space_group_name_Hall '-P 6c'
_cell_length_a 8.9549
_cell_length_b 8.9549
_cell_length_c 6.7496
_cell_angle_alpha 90.00
_cell_angle_beta 90.00
_cell_angle_gamma 120.00
loop_
_atom_site_label
_atom_site_fract_x
_atom_site_fract_y
_atom_site_fract_z
Dy1 0.0111 0.2509 0.2500
Dy2 0.3333 0.6667 0.5016
B1 0.0304 0.3996 0.7500
O1 0.0000 0.0000 0.2500
O2 0.0901 0.3463 0.5712
O3 0.1254 0.5906 0.7500
O4 0.1571 0.6750 0.2500
```

Largest 12 diffraction maxima, by angle, 10° ≤ 2θ ≤ 80°:
d (Å), Position (°2θ), I (rel.)
3.878, 22.94, 28
3.731, 23.85, 35
3.095, 28.85, 32
2.931, 30.50, 26
2.691, 33.29, 100
2.585, 34.70, 24
1.866, 48.82, 21
1.814, 50.30, 18
1.785, 51.18, 18
1.720, 53.24, 13
1.692, 54.20, 16
1.681, 54.59, 23

***

5.
For InSb3, a structure optimized by DFT (GGA-PBE) gives the computed powder diffraction line list in this record (Cu Kα (weighted mean of Kα1 and Kα2)).

Structure:
```
data_InSb3
_space_group_name_H-M_alt 'F m -3 m'
_space_group_IT_number 225
_space_group_name_Hall '-F 4 2 3'
_cell_length_a 7.5891
_cell_length_b 7.5891
_cell_length_c 7.5891
_cell_angle_alpha 90.00
_cell_angle_beta 90.00
_cell_angle_gamma 90.00
loop_
_atom_site_label
_atom_site_fract_x
_atom_site_fract_y
_atom_site_fract_z
In1 0.0000 0.0000 0.0000
Sb1 0.0000 0.0000 0.5000
Sb2 0.2500 0.2500 0.2500
```

Largest 5 diffraction maxima, by angle, 10° ≤ 2θ ≤ 80°:
d (Å), Position (°2θ), I (rel.)
2.683, 33.39, 100
1.897, 47.95, 18
1.549, 59.69, 36
1.342, 70.15, 11
1.200, 79.95, 16

***

6.
For CeCdAu, a structure optimized by DFT (GGA-PBE) gives the computed powder diffraction line list in this record (Cu Kα (weighted mean of Kα1 and Kα2)).

Structure:
```
data_CeCdAu
_space_group_name_H-M_alt 'P -6 2 m'
_space_group_IT_number 189
_space_group_name_Hall 'P -6 -2'
_cell_length_a 7.9201
_cell_length_b 7.9201
_cell_length_c 4.0625
_cell_angle_alpha 90.00
_cell_angle_beta 90.00
_cell_angle_gamma 120.00
loop_
_atom_site_label
_atom_site_fract_x
_atom_site_fract_y
_atom_site_fract_z
Ce1 0.0000 0.4070 0.0000
Cd1 0.0000 0.7428 0.5000
Au1 0.0000 0.0000 0.0000
Au2 0.3333 0.6667 0.5000
```

Largest 12 diffraction maxima, by angle, 10° ≤ 2θ ≤ 80°:
d (Å), Position (°2θ), I (rel.)
3.960, 22.45, 21
3.495, 25.48, 14
2.836, 31.55, 72
2.621, 34.22, 100
2.592, 34.60, 31
2.286, 39.41, 51
2.185, 41.31, 45
2.031, 44.61, 25
1.599, 57.65, 14
1.519, 61.02, 28
1.467, 63.39, 35
1.205, 79.55, 12

***

7.
For KEuZrBiO6, a structure optimized by DFT (GGA-PBE) gives the computed powder diffraction line list in this record (Cu Kα (weighted mean of Kα1 and Kα2)).

Structure:
```
data_KEuZrBiO6
_space_group_name_H-M_alt 'P n n n'
_space_group_IT_number 48
_cell_length_a 8.4135
_cell_length_b 8.4631
_cell_length_c 8.5042
_cell_angle_alpha 90.00
_cell_angle_beta 90.00
_cell_angle_gamma 90.00
loop_
_space_group_symop_operation_xyz
'x,y,z'
'-x,-y,-z'
'-x+1/2,-y+1/2,z'
'x+1/2,y+1/2,-z'
'x,-y+1/2,-z+1/2'
'-x,y+1/2,z+1/2'
'-x+1/2,y,-z+1/2'
'x+1/2,-y,z+1/2'
loop_
_atom_site_label
_atom_site_fract_x
_atom_site_fract_y
_atom_site_fract_z
K1 0.2500 0.2500 0.2500
K2 0.2500 0.7500 0.7500
Eu1 0.2500 0.2500 0.7500
Eu2 0.2500 0.7500 0.2500
Zr1 0.0000 0.0000 0.0000
Bi1 0.0000 0.0000 0.5000
O1 0.0189 0.0383 0.7524
O2 0.0203 0.7465 0.5025
O3 0.2465 0.0158 0.0177
```

Largest 12 diffraction maxima, by angle, 10° ≤ 2θ ≤ 80°:
d (Å), Position (°2θ), I (rel.)
5.999, 14.77, 17
4.884, 18.16, 17
2.995, 29.83, 100
2.983, 29.95, 49
2.126, 42.52, 15
2.116, 42.74, 14
2.103, 43.00, 15
1.731, 52.88, 20
1.727, 53.02, 22
1.722, 53.19, 21
1.500, 61.87, 9
1.495, 62.07, 9

***

8.
For LiF, a structure optimized by DFT (GGA-PBE) gives the computed powder diffraction line list in this record (Cu Kα (weighted mean of Kα1 and Kα2)).

Structure:
```
data_LiF
_space_group_name_H-M_alt 'P m -3 m'
_space_group_IT_number 221
_space_group_name_Hall '-P 4 2 3'
_cell_length_a 2.5595
_cell_length_b 2.5595
_cell_length_c 2.5595
_cell_angle_alpha 90.00
_cell_angle_beta 90.00
_cell_angle_gamma 90.00
loop_
_atom_site_label
_atom_site_fract_x
_atom_site_fract_y
_atom_site_fract_z
Li1 0.0000 0.0000 0.0000
F1 0.5000 0.5000 0.5000
```

Largest 4 diffraction maxima, by angle, 10° ≤ 2θ ≤ 80°:
d (Å), Position (°2θ), I (rel.)
2.560, 35.06, 59
1.810, 50.42, 100
1.478, 62.89, 8
1.280, 74.08, 12

***

9.
For Ca3V3N5, a structure optimized by DFT (GGA-PBE) gives the computed powder diffraction line list in this record (Cu Kα (weighted mean of Kα1 and Kα2)).

Structure:
```
data_Ca3V3N5
_space_group_name_H-M_alt 'P -1'
_space_group_IT_number 2
_space_group_name_Hall '-P 1'
_cell_length_a 5.7182
_cell_length_b 7.3276
_cell_length_c 8.2523
_cell_angle_alpha 109.61
_cell_angle_beta 105.32
_cell_angle_gamma 99.51
loop_
_atom_site_label
_atom_site_fract_x
_atom_site_fract_y
_atom_site_fract_z
Ca1 0.1568 0.3490 0.3893
Ca2 0.1749 0.1821 0.7226
Ca3 0.2414 0.9250 0.0952
V1 0.2003 0.4887 0.0982
V2 0.4030 0.8157 0.4654
V3 0.4055 0.6350 0.8022
N1 0.1282 0.5610 0.8793
N2 0.2496 0.2196 0.0320
N3 0.2536 0.0174 0.4045
N4 0.2821 0.7386 0.6308
N5 0.4959 0.4024 0.6803
```

Largest 12 diffraction maxima, by angle, 10° ≤ 2θ ≤ 80°:
d (Å), Position (°2θ), I (rel.)
6.627, 13.36, 28
5.225, 16.97, 19
2.884, 31.01, 44
2.751, 32.54, 70
2.739, 32.70, 58
2.646, 33.87, 100
2.572, 34.89, 87
2.358, 38.17, 27
2.252, 40.04, 35
2.211, 40.82, 25
2.155, 41.93, 18
1.536, 60.25, 15